(1)
RbCa3: theoretical X-ray diffraction stick pattern (CuKα), based on a PBE-relaxed structure.
Neutral-atom scattering factors, no anomalous dispersion.

```
data_RbCa3
_chemical_formula_sum 'Rb4 Ca12'
_space_group_name_H-M_alt 'F m -3 m'
_space_group_IT_number 225
_space_group_name_Hall '-F 4 2 3'
_cell_length_a 9.263
_cell_length_b 9.263
_cell_length_c 9.263
_cell_angle_alpha 90.00
_cell_angle_beta 90.00
_cell_angle_gamma 90.00
loop_
_atom_site_label
_atom_site_type_symbol
_atom_site_fract_x
_atom_site_fract_y
_atom_site_fract_z
Rb1 Rb 0.000 0.000 0.000
Ca1 Ca 0.000 0.000 0.500
Ca2 Ca 0.250 0.250 0.250
```

Top 12 peaks for 15° ≤ 2θ ≤ 90°, most intense first:
2θ/deg, I_rel, (hkl)
27.23, 100, 2 2 0
48.12, 38, 4 2 2
38.89, 18, 4 0 0
77.05, 17, 6 4 2
63.52, 16, 6 2 0
56.17, 12, 4 4 0
89.86, 9, 8 2 2
16.58, 8, 1 1 1
32.05, 5, 3 1 1
19.16, 5, 2 0 0
70.43, 4, 4 4 4
42.54, 3, 3 3 1



(2)
RbCa3: theoretical X-ray diffraction stick pattern (CuKα), based on a PBE-relaxed structure.
Neutral-atom scattering factors, no anomalous dispersion.

```
data_RbCa3
_chemical_formula_sum 'Rb2 Ca6'
_space_group_name_H-M_alt 'I 4/m m m'
_space_group_IT_number 139
_space_group_name_Hall '-I 4 2'
_cell_length_a 5.829
_cell_length_b 5.829
_cell_length_c 11.686
_cell_angle_alpha 90.00
_cell_angle_beta 90.00
_cell_angle_gamma 90.00
loop_
_atom_site_label
_atom_site_type_symbol
_atom_site_fract_x
_atom_site_fract_y
_atom_site_fract_z
Rb1 Rb 0.000 0.000 0.000
Ca1 Ca 0.000 0.000 0.500
Ca2 Ca 0.000 0.500 0.250
```

Top 12 peaks for 15° ≤ 2θ ≤ 90°, most intense first:
2θ/deg, I_rel, (hkl)
26.46, 100, 1 1 2
30.65, 51, 2 0 0
51.99, 42, 3 1 2
43.90, 35, 2 2 0
70.34, 16, 3 3 2
54.49, 12, 2 2 4
17.00, 11, 1 0 1
72.50, 10, 4 2 0
86.79, 9, 5 1 2
80.73, 7, 4 2 4
72.36, 5, 2 0 8
35.28, 4, 2 1 1



(3)
Rb2CaSb2: theoretical X-ray diffraction stick pattern (CuKα), based on a PBE-relaxed structure.
Neutral-atom scattering factors, no anomalous dispersion.

```
data_Rb2CaSb2
_chemical_formula_sum 'Rb2 Ca1 Sb2'
_space_group_name_H-M_alt 'P 4/m m m'
_space_group_IT_number 123
_space_group_name_Hall '-P 4 2'
_cell_length_a 3.665
_cell_length_b 3.665
_cell_length_c 18.019
_cell_angle_alpha 90.00
_cell_angle_beta 90.00
_cell_angle_gamma 90.00
loop_
_atom_site_label
_atom_site_type_symbol
_atom_site_fract_x
_atom_site_fract_y
_atom_site_fract_z
Rb1 Rb 0.000 0.000 0.150
Ca1 Ca 0.000 0.000 0.500
Sb1 Sb 0.000 0.000 0.337
```

Top 12 peaks for 15° ≤ 2θ ≤ 90°, most intense first:
2θ/deg, I_rel, (hkl)
24.28, 100, 1 0 0
38.77, 49, 1 0 6
34.61, 39, 1 1 0
46.27, 29, 1 1 6
31.47, 27, 1 0 4
29.75, 25, 0 0 6
19.71, 22, 0 0 4
64.80, 21, 2 1 6
56.11, 20, 2 1 0
40.14, 14, 1 1 4
59.05, 14, 2 0 6
49.75, 14, 2 0 0



(4)
RbCaSb: theoretical X-ray diffraction stick pattern (CuKα), based on a PBE-relaxed structure.
Neutral-atom scattering factors, no anomalous dispersion.

```
data_RbCaSb
_chemical_formula_sum 'Rb2 Ca2 Sb2'
_space_group_name_H-M_alt 'P 4/n m m'
_space_group_IT_number 129
_cell_length_a 5.412
_cell_length_b 5.412
_cell_length_c 8.566
_cell_angle_alpha 90.00
_cell_angle_beta 90.00
_cell_angle_gamma 90.00
loop_
_space_group_symop_operation_xyz
'x,y,z'
'-x,-y,-z'
'-y+1/2,x,z'
'y+1/2,-x,-z'
'-x+1/2,-y+1/2,z'
'x+1/2,y+1/2,-z'
'y,-x+1/2,z'
'-y,x+1/2,-z'
'x+1/2,-y,-z'
'-x+1/2,y,z'
'-y,-x,-z'
'y,x,z'
'-x,y+1/2,-z'
'x,-y+1/2,z'
'y+1/2,x+1/2,-z'
'-y+1/2,-x+1/2,z'
loop_
_atom_site_label
_atom_site_type_symbol
_atom_site_fract_x
_atom_site_fract_y
_atom_site_fract_z
Rb1 Rb 0.250 0.250 0.135
Ca1 Ca 0.250 0.750 0.500
Sb1 Sb 0.250 0.250 0.696
```

Top 12 peaks for 15° ≤ 2θ ≤ 90°, most intense first:
2θ/deg, I_rel, (hkl)
26.54, 100, 1 0 2
23.25, 71, 1 1 0
33.11, 67, 2 0 0
31.35, 54, 1 1 2
42.92, 54, 2 1 2
47.52, 23, 2 2 0
35.55, 22, 1 0 3
53.53, 20, 0 0 5
19.40, 19, 1 0 1
58.04, 17, 3 1 2
49.36, 17, 2 1 3
45.55, 17, 1 0 4



(5)
Ca2Rh: theoretical X-ray diffraction stick pattern (CuKα), based on a PBE-relaxed structure.
Neutral-atom scattering factors, no anomalous dispersion.

```
data_Ca2Rh
_chemical_formula_sum 'Ca8 Rh4'
_space_group_name_H-M_alt 'F m -3 m'
_space_group_IT_number 225
_space_group_name_Hall '-F 4 2 3'
_cell_length_a 6.962
_cell_length_b 6.962
_cell_length_c 6.962
_cell_angle_alpha 90.00
_cell_angle_beta 90.00
_cell_angle_gamma 90.00
loop_
_atom_site_label
_atom_site_type_symbol
_atom_site_fract_x
_atom_site_fract_y
_atom_site_fract_z
Ca1 Ca 0.250 0.250 0.250
Rh1 Rh 0.000 0.000 0.000
```

Top 12 peaks for 15° ≤ 2θ ≤ 90°, most intense first:
2θ/deg, I_rel, (hkl)
36.50, 100, 2 2 0
22.11, 77, 1 1 1
43.09, 39, 3 1 1
65.70, 33, 4 2 2
52.58, 17, 4 0 0
57.72, 16, 3 3 1
88.91, 14, 6 2 0
70.25, 12, 5 1 1
81.85, 11, 5 3 1
77.57, 10, 4 4 0
25.59, 1, 2 0 0
59.37, 1, 4 2 0



(6)
CaRh2: theoretical X-ray diffraction stick pattern (CuKα), based on a PBE-relaxed structure.
Neutral-atom scattering factors, no anomalous dispersion.

a b c (Å): 7.585 7.585 7.585
angles (deg): 90.00 90.00 90.00
Space group Fd-3m (No. 227, origin choice 2)
Asymmetric unit:
1 Ca 0.125 0.125 0.125 (multiplicity 8)
2 Rh 0.000 0.000 0.500 (multiplicity 16)

Top 12 peaks for 15° ≤ 2θ ≤ 90°, most intense first:
2θ/deg, I_rel, (hkl)
39.40, 100, 3 1 1
41.23, 72, 2 2 2
20.28, 58, 1 1 1
63.76, 31, 5 1 1
70.19, 30, 4 4 0
84.78, 26, 6 2 2
47.98, 22, 4 0 0
52.60, 14, 3 3 1
83.59, 11, 5 3 3
73.93, 10, 5 3 1
33.41, 8, 2 2 0
89.53, 5, 4 4 4



(7)
Ca5Rh: theoretical X-ray diffraction stick pattern (CuKα), based on a PBE-relaxed structure.
Neutral-atom scattering factors, no anomalous dispersion.

```
data_Ca5Rh
_chemical_formula_sum 'Ca20 Rh4'
_space_group_name_H-M_alt 'P n m a'
_space_group_IT_number 62
_cell_length_a 7.558
_cell_length_b 16.135
_cell_length_c 6.795
_cell_angle_alpha 90.00
_cell_angle_beta 90.00
_cell_angle_gamma 90.00
loop_
_space_group_symop_operation_xyz
'x,y,z'
'-x,-y,-z'
'-x+1/2,-y,z+1/2'
'x+1/2,y,-z+1/2'
'x+1/2,-y+1/2,-z+1/2'
'-x+1/2,y+1/2,z+1/2'
'-x,y+1/2,-z'
'x,-y+1/2,z'
loop_
_atom_site_label
_atom_site_type_symbol
_atom_site_fract_x
_atom_site_fract_y
_atom_site_fract_z
Ca1 Ca 0.034 0.146 0.177
Ca2 Ca 0.093 0.750 0.345
Ca3 Ca 0.192 0.066 0.644
Rh1 Rh 0.239 0.250 0.463
```

Top 12 peaks for 15° ≤ 2θ ≤ 90°, most intense first:
2θ/deg, I_rel, (hkl)
18.40, 100, 1 1 1
32.93, 43, 1 5 1
30.91, 36, 1 2 2
38.52, 32, 3 1 1
31.80, 30, 2 3 1
30.67, 28, 0 5 1
29.35, 26, 1 1 2
32.47, 25, 2 4 0
45.06, 24, 1 3 3
37.30, 23, 2 2 2
41.20, 21, 2 6 0
29.22, 17, 2 2 1



(8)
CaSi2Rh2: theoretical X-ray diffraction stick pattern (CuKα), based on a PBE-relaxed structure.
Neutral-atom scattering factors, no anomalous dispersion.

```
data_CaSi2Rh2
_chemical_formula_sum 'Ca2 Si4 Rh4'
_space_group_name_H-M_alt 'I 4/m m m'
_space_group_IT_number 139
_space_group_name_Hall '-I 4 2'
_cell_length_a 4.112
_cell_length_b 4.112
_cell_length_c 10.032
_cell_angle_alpha 90.00
_cell_angle_beta 90.00
_cell_angle_gamma 90.00
loop_
_atom_site_label
_atom_site_type_symbol
_atom_site_fract_x
_atom_site_fract_y
_atom_site_fract_z
Ca1 Ca 0.000 0.000 0.000
Si1 Si 0.000 0.000 0.374
Rh1 Rh 0.000 0.500 0.250
```

Top 12 peaks for 15° ≤ 2θ ≤ 90°, most intense first:
2θ/deg, I_rel, (hkl)
35.69, 100, 1 1 2
17.68, 66, 0 0 2
47.87, 54, 1 1 4
44.05, 41, 2 0 0
75.55, 27, 3 1 2
64.27, 18, 1 1 6
35.80, 15, 0 0 4
30.75, 14, 1 1 0
58.01, 14, 2 0 4
83.80, 14, 3 1 4
64.05, 13, 2 2 0
34.57, 12, 1 0 3



(9)
CaSmRh2: theoretical X-ray diffraction stick pattern (CuKα), based on a PBE-relaxed structure.
Neutral-atom scattering factors, no anomalous dispersion.

```
data_CaSmRh2
_chemical_formula_sum 'Ca4 Sm4 Rh8'
_space_group_name_H-M_alt 'F m -3 m'
_space_group_IT_number 225
_space_group_name_Hall '-F 4 2 3'
_cell_length_a 6.924
_cell_length_b 6.924
_cell_length_c 6.924
_cell_angle_alpha 90.00
_cell_angle_beta 90.00
_cell_angle_gamma 90.00
loop_
_atom_site_label
_atom_site_type_symbol
_atom_site_fract_x
_atom_site_fract_y
_atom_site_fract_z
Ca1 Ca 0.000 0.000 0.000
Sm1 Sm 0.000 0.000 0.500
Rh1 Rh 0.250 0.250 0.250
```

Top 10 peaks for 15° ≤ 2θ ≤ 90°, most intense first:
2θ/deg, I_rel, (hkl)
36.71, 100, 2 2 0
66.11, 35, 4 2 2
52.89, 17, 4 0 0
22.24, 17, 1 1 1
89.53, 16, 6 2 0
78.08, 11, 4 4 0
43.34, 9, 3 1 1
58.07, 4, 3 3 1
82.40, 3, 5 3 1
70.70, 3, 5 1 1



(10)
CaTbRh2: theoretical X-ray diffraction stick pattern (CuKα), based on a PBE-relaxed structure.
Neutral-atom scattering factors, no anomalous dispersion.

```
data_CaTbRh2
_chemical_formula_sum 'Ca4 Tb4 Rh8'
_space_group_name_H-M_alt 'F m -3 m'
_space_group_IT_number 225
_space_group_name_Hall '-F 4 2 3'
_cell_length_a 6.859
_cell_length_b 6.859
_cell_length_c 6.859
_cell_angle_alpha 90.00
_cell_angle_beta 90.00
_cell_angle_gamma 90.00
loop_
_atom_site_label
_atom_site_type_symbol
_atom_site_fract_x
_atom_site_fract_y
_atom_site_fract_z
Ca1 Ca 0.000 0.000 0.000
Tb1 Tb 0.000 0.000 0.500
Rh1 Rh 0.250 0.250 0.250
```

Top 9 peaks for 15° ≤ 2θ ≤ 90°, most intense first:
2θ/deg, I_rel, (hkl)
37.07, 100, 2 2 0
66.82, 34, 4 2 2
22.45, 18, 1 1 1
53.44, 17, 4 0 0
78.96, 11, 4 4 0
43.78, 10, 3 1 1
58.67, 4, 3 3 1
83.36, 3, 5 3 1
71.47, 3, 5 1 1



(11)
CaThRh2: theoretical X-ray diffraction stick pattern (CuKα), based on a PBE-relaxed structure.
Neutral-atom scattering factors, no anomalous dispersion.

```
data_CaThRh2
_chemical_formula_sum 'Ca4 Th4 Rh8'
_space_group_name_H-M_alt 'F m -3 m'
_space_group_IT_number 225
_space_group_name_Hall '-F 4 2 3'
_cell_length_a 7.002
_cell_length_b 7.002
_cell_length_c 7.002
_cell_angle_alpha 90.00
_cell_angle_beta 90.00
_cell_angle_gamma 90.00
loop_
_atom_site_label
_atom_site_type_symbol
_atom_site_fract_x
_atom_site_fract_y
_atom_site_fract_z
Ca1 Ca 0.000 0.000 0.000
Th1 Th 0.000 0.000 0.500
Rh1 Rh 0.250 0.250 0.250
```

Top 12 peaks for 15° ≤ 2θ ≤ 90°, most intense first:
2θ/deg, I_rel, (hkl)
36.29, 100, 2 2 0
65.28, 36, 4 2 2
21.99, 33, 1 1 1
42.83, 19, 3 1 1
52.26, 18, 4 0 0
88.26, 16, 6 2 0
77.04, 11, 4 4 0
57.36, 8, 3 3 1
81.28, 6, 5 3 1
69.79, 6, 5 1 1
25.44, 1, 2 0 0
58.99, 1, 4 2 0



(12)
CaTmRh2: theoretical X-ray diffraction stick pattern (CuKα), based on a PBE-relaxed structure.
Neutral-atom scattering factors, no anomalous dispersion.

```
data_CaTmRh2
_chemical_formula_sum 'Ca4 Tm4 Rh8'
_space_group_name_H-M_alt 'F m -3 m'
_space_group_IT_number 225
_space_group_name_Hall '-F 4 2 3'
_cell_length_a 6.779
_cell_length_b 6.779
_cell_length_c 6.779
_cell_angle_alpha 90.00
_cell_angle_beta 90.00
_cell_angle_gamma 90.00
loop_
_atom_site_label
_atom_site_type_symbol
_atom_site_fract_x
_atom_site_fract_y
_atom_site_fract_z
Ca1 Ca 0.000 0.000 0.000
Tm1 Tm 0.000 0.000 0.500
Rh1 Rh 0.250 0.250 0.250
```

Top 9 peaks for 15° ≤ 2θ ≤ 90°, most intense first:
2θ/deg, I_rel, (hkl)
37.53, 100, 2 2 0
67.71, 34, 4 2 2
22.72, 21, 1 1 1
54.11, 17, 4 0 0
44.32, 11, 3 1 1
80.08, 11, 4 4 0
59.43, 5, 3 3 1
84.56, 4, 5 3 1
72.44, 4, 5 1 1



(13)
CaYRh2: theoretical X-ray diffraction stick pattern (CuKα), based on a PBE-relaxed structure.
Neutral-atom scattering factors, no anomalous dispersion.

```
data_CaYRh2
_chemical_formula_sum 'Ca4 Y4 Rh8'
_space_group_name_H-M_alt 'F m -3 m'
_space_group_IT_number 225
_space_group_name_Hall '-F 4 2 3'
_cell_length_a 6.865
_cell_length_b 6.865
_cell_length_c 6.865
_cell_angle_alpha 90.00
_cell_angle_beta 90.00
_cell_angle_gamma 90.00
loop_
_atom_site_label
_atom_site_type_symbol
_atom_site_fract_x
_atom_site_fract_y
_atom_site_fract_z
Ca1 Ca 0.000 0.000 0.000
Y1 Y 0.000 0.000 0.500
Rh1 Rh 0.250 0.250 0.250
```

Top 12 peaks for 15° ≤ 2θ ≤ 90°, most intense first:
2θ/deg, I_rel, (hkl)
37.04, 100, 2 2 0
66.76, 34, 4 2 2
53.39, 17, 4 0 0
78.88, 10, 4 4 0
25.96, 7, 2 0 0
22.43, 5, 1 1 1
60.30, 3, 4 2 0
43.74, 3, 3 1 1
45.79, 2, 2 2 2
84.72, 1, 6 0 0
58.62, 1, 3 3 1
83.27, 1, 5 3 1



(14)
CaZrRh2: theoretical X-ray diffraction stick pattern (CuKα), based on a PBE-relaxed structure.
Neutral-atom scattering factors, no anomalous dispersion.

```
data_CaZrRh2
_chemical_formula_sum 'Ca4 Zr4 Rh8'
_space_group_name_H-M_alt 'F m -3 m'
_space_group_IT_number 225
_space_group_name_Hall '-F 4 2 3'
_cell_length_a 6.687
_cell_length_b 6.687
_cell_length_c 6.687
_cell_angle_alpha 90.00
_cell_angle_beta 90.00
_cell_angle_gamma 90.00
loop_
_atom_site_label
_atom_site_type_symbol
_atom_site_fract_x
_atom_site_fract_y
_atom_site_fract_z
Ca1 Ca 0.000 0.000 0.000
Zr1 Zr 0.000 0.000 0.500
Rh1 Rh 0.250 0.250 0.250
```

Top 12 peaks for 15° ≤ 2θ ≤ 90°, most intense first:
2θ/deg, I_rel, (hkl)
38.06, 100, 2 2 0
68.78, 33, 4 2 2
54.93, 17, 4 0 0
81.42, 10, 4 4 0
26.66, 6, 2 0 0
23.04, 5, 1 1 1
44.96, 3, 3 1 1
62.08, 2, 4 2 0
47.08, 2, 2 2 2
87.54, 1, 6 0 0
60.34, 1, 3 3 1
86.01, 1, 5 3 1



(15)
Ca2Sb2S5: theoretical X-ray diffraction stick pattern (CuKα), based on a PBE-relaxed structure.
Neutral-atom scattering factors, no anomalous dispersion.

```
data_Ca2Sb2S5
_chemical_formula_sum 'Ca8 Sb8 S20'
_space_group_name_H-M_alt 'P 1 21/c 1'
_space_group_IT_number 14
_cell_length_a 15.208
_cell_length_b 5.738
_cell_length_c 11.438
_cell_angle_alpha 90.00
_cell_angle_beta 110.85
_cell_angle_gamma 90.00
loop_
_space_group_symop_operation_xyz
'x,y,z'
'-x,-y,-z'
'-x,y+1/2,-z+1/2'
'x,-y+1/2,z+1/2'
loop_
_atom_site_label
_atom_site_type_symbol
_atom_site_fract_x
_atom_site_fract_y
_atom_site_fract_z
Ca1 Ca 0.107 0.224 0.307
Ca2 Ca 0.334 0.233 0.168
Sb1 Sb 0.125 0.739 0.574
Sb2 Sb 0.384 0.655 0.947
S1 S 0.096 0.727 0.276
S2 S 0.121 0.197 0.064
S3 S 0.299 0.734 0.159
S4 S 0.305 0.225 0.404
S5 S 0.500 0.010 0.653
```

Top 12 peaks for 15° ≤ 2θ ≤ 90°, most intense first:
2θ/deg, I_rel, (hkl)
25.10, 100, 4 0 0
31.29, 60, 2 0 -4
17.58, 46, 1 1 -1
25.48, 42, 3 1 -2
31.18, 39, 0 2 0
40.40, 36, 4 2 0
44.76, 35, 2 2 -4
16.64, 34, 0 0 2
40.94, 25, 6 0 -4
24.37, 23, 3 1 0
16.84, 22, 2 0 -2
40.06, 21, 2 0 4